1.
The following is a simulated powder XRD pattern of Nd2SmMg9. It was derived from a DFT-relaxed cell (GGA-PBE, Alexandria), using Cu Kα, 1.54184 Å.

Peak list (10 most intense, 5 to 70 degrees two-theta, in order of rising 2θ)
h k l, 2θ (°), d/Å, I (rel.)
1 0 1, 17.1, 5.185, 56
0 0 6, 17.9, 4.952, 22
1 0 7, 27.0, 3.304, 67
1 1 0, 29.4, 3.038, 100
0 2 1, 34.2, 2.623, 33
1 1 6, 34.6, 2.591, 86
2 1 7, 50.7, 1.802, 24
3 0 0, 52.1, 1.755, 27
2 0 14, 55.6, 1.653, 34
2 2 0, 60.9, 1.520, 16

Cell: 6.0809 6.0809 29.6986 Å, 90.00 90.00 120.00°
Space group R-3m (No. 166, hexagonal axes)
Asymmetric unit:
Nd1 0.0000 0.0000 0.1424 [6 per cell]
Sm1 0.0000 0.0000 0.0000 [3 per cell]
Mg1 0.0000 0.0000 0.3339 [6 per cell]
Mg2 0.0000 0.0000 0.5000 [3 per cell]
Mg3 0.0031 0.5016 0.9169 [18 per cell]

=====

2.
The following is a simulated powder XRD pattern of CaAlAg2. It was derived from a DFT-relaxed cell (GGA-PBE, Alexandria), using Cu Kα, 1.54184 Å.

Peak list (10 most intense, 5 to 70 degrees two-theta, in order of rising 2θ)
h k l, 2θ (°), d/Å, I (rel.)
0 1 0, 19.6, 4.531, 69
1 0 0, 25.6, 3.473, 67
1 1 0, 32.5, 2.756, 96
0 1 2, 37.0, 2.429, 100
0 2 0, 39.8, 2.266, 41
1 0 -2, 40.6, 2.221, 25
1 0 2, 40.8, 2.210, 25
1 1 -2, 45.5, 1.994, 28
1 1 2, 45.7, 1.986, 28
1 2 0, 47.9, 1.898, 24

Cell: 3.473 4.531 5.754 Å, 90.00 90.30 90.00°
Space group P2/m (No. 10)
Asymmetric unit:
Ca1 0.000 0.000 0.000 [1 per cell]
Al1 0.500 0.000 0.500 [1 per cell]
Ag1 0.496 0.500 0.748 [2 per cell]

=====

3.
The following is a simulated powder XRD pattern of Ho3Co11B4. It was derived from a DFT-relaxed cell (GGA-PBE, Alexandria), using Cu Kα, 1.54184 Å.

Peak list (10 most intense, 5 to 70 degrees two-theta, in order of rising 2θ)
h k l, 2θ (°), d/Å, I (rel.)
1 0 0, 20.5, 4.338, 26
1 0 3, 34.4, 2.604, 100
1 1 0, 35.9, 2.505, 29
1 1 2, 40.5, 2.229, 7
2 0 0, 41.6, 2.169, 86
1 0 4, 42.5, 2.128, 8
1 1 3, 45.7, 1.985, 91
0 0 6, 56.5, 1.628, 10
2 1 3, 63.5, 1.464, 34
1 1 6, 68.8, 1.365, 11

Cell: 5.0095 5.0095 9.7658 Å, 90.00 90.00 120.00°
Space group P6/mmm (No. 191)
Asymmetric unit:
Ho1 0.0000 0.0000 0.0000 [1 per cell]
Ho2 0.0000 0.0000 0.3420 [2 per cell]
Co1 0.0000 0.5000 0.2017 [6 per cell]
Co2 0.0000 0.5000 0.5000 [3 per cell]
Co3 0.3333 0.6667 0.0000 [2 per cell]
B1 0.3333 0.6667 0.3497 [4 per cell]

=====

4.
The following is a simulated powder XRD pattern of CsLiPbF4. It was derived from a DFT-relaxed cell (GGA-PBE, Alexandria), using Cu Kα, 1.54184 Å.

Peak list (10 most intense, 5 to 70 degrees two-theta, in order of rising 2θ)
h k l, 2θ (°), d/Å, I (rel.)
0 0 1, 11.5, 7.671, 41
1 1 -1, 22.9, 3.886, 100
0 0 2, 23.2, 3.835, 31
1 1 1, 26.1, 3.420, 83
0 1 2, 27.5, 3.244, 29
0 2 0, 29.3, 3.044, 68
2 0 0, 31.9, 2.802, 26
2 1 -1, 35.0, 2.564, 27
0 2 2, 37.7, 2.383, 32
2 1 2, 46.4, 1.957, 30

Cell: 5.729 6.083 7.841 Å, 90.00 101.97 90.00°
Space group P2_1/m (No. 11)
Asymmetric unit:
Cs1 0.211 0.250 0.087 [2 per cell]
Li1 0.356 0.250 0.693 [2 per cell]
Pb1 0.191 0.750 0.468 [2 per cell]
F1 0.147 0.012 0.708 [4 per cell]
F2 0.329 0.750 0.185 [2 per cell]
F3 0.375 0.250 0.457 [2 per cell]

=====

5.
The following is a simulated powder XRD pattern of ZrNiN. It was derived from a DFT-relaxed cell (GGA-PBE, Alexandria), using Cu Kα, 1.54184 Å.

Peak list (9 most intense, 5 to 70 degrees two-theta, in order of rising 2θ)
h k l, 2θ (°), d/Å, I (rel.)
0 0 1, 23.6, 3.772, 7
1 0 0, 28.0, 3.187, 1
1 0 1, 36.9, 2.435, 100
1 1 0, 40.0, 2.254, 55
1 1 1, 47.0, 1.935, 4
0 0 2, 48.3, 1.886, 16
2 0 0, 57.9, 1.594, 17
2 0 1, 63.4, 1.468, 1
1 1 2, 64.4, 1.446, 25

Cell: 3.187 3.187 3.772 Å, 90.00 90.00 90.00°
Space group P4/mmm (No. 123)
Asymmetric unit:
Zr1 0.000 0.000 0.000 [1 per cell]
Ni1 0.500 0.500 0.500 [1 per cell]
N1 0.500 0.500 0.000 [1 per cell]

=====

6.
The following is a simulated powder XRD pattern of Ba4CrAs4. It was derived from a DFT-relaxed cell (GGA-PBE, Alexandria), using Cu Kα, 1.54184 Å.

Peak list (10 most intense, 5 to 70 degrees two-theta, in order of rising 2θ)
h k l, 2θ (°), d/Å, I (rel.)
2 0 1, 22.8, 3.901, 18
2 1 1, 24.7, 3.605, 20
0 0 2, 25.7, 3.467, 23
2 2 0, 26.7, 3.336, 100
1 0 2, 27.4, 3.254, 38
3 1 1, 32.7, 2.741, 27
2 1 2, 33.5, 2.679, 36
2 2 2, 37.4, 2.404, 47
4 0 0, 38.2, 2.359, 45
3 2 2, 43.3, 2.089, 22

Cell: 9.436 9.436 6.934 Å, 90.00 90.00 90.00°
Space group P4_2/nmc (No. 137, origin choice 2)
Asymmetric unit:
Ba1 0.023 0.250 0.076 [8 per cell]
Cr1 0.250 0.750 0.250 [2 per cell]
As1 0.034 0.750 0.440 [8 per cell]